Record 1
Diffraction record for GdH3. The X-ray powder pattern is computed, not measured: it uses a crystal structure in the Materials Project, relaxed with GGA-PBE and a wavelength of 1.5418 Å.

Structure:
a b c (Å): 6.4317 6.4317 6.6814
angles (deg): 90.00 90.00 120.00
Fractional positions:
1 Gd 0.0000 0.3366 0.2500
2 Gd 0.0000 0.6634 0.7500
3 Gd 0.3366 0.0000 0.2500
4 Gd 0.3366 0.3366 0.7500
5 Gd 0.6634 0.0000 0.7500
6 Gd 0.6634 0.6634 0.2500
7 H 0.0000 0.0000 0.2500
8 H 0.0000 0.0000 0.7500
9 H 0.0276 0.3487 0.9075
10 H 0.0276 0.6789 0.4075
11 H 0.3211 0.3487 0.4075
12 H 0.3211 0.9724 0.9075
13 H 0.3333 0.6667 0.1804
14 H 0.3333 0.6667 0.6804
15 H 0.3487 0.0276 0.5925
16 H 0.3487 0.3211 0.0925
17 H 0.6513 0.6789 0.9075
18 H 0.6513 0.9724 0.4075
19 H 0.6667 0.3333 0.3196
20 H 0.6667 0.3333 0.8196
21 H 0.6789 0.0276 0.0925
22 H 0.6789 0.6513 0.5925
23 H 0.9724 0.3211 0.5925
24 H 0.9724 0.6513 0.0925

Top 10 peaks for 10° ≤ 2θ ≤ 80°, in order of falling intensity:
30.9°, d = 2.898 Å, intensity 100.0
26.7°, d = 3.341 Å, intensity 33.0
49.8°, d = 1.831 Å, intensity 27.7
56.7°, d = 1.623 Å, intensity 24.4
27.7°, d = 3.216 Å, intensity 22.4
49.1°, d = 1.857 Å, intensity 19.5
38.9°, d = 2.317 Å, intensity 17.6
59.1°, d = 1.563 Å, intensity 16.0
76.8°, d = 1.242 Å, intensity 10.0
72.5°, d = 1.304 Å, intensity 8.9

=====

Record 2
Diffraction record for SnP2O9. The X-ray powder pattern is computed, not measured: it uses a crystal structure in the Materials Project, relaxed with GGA-PBE and a wavelength of 1.5418 Å.

Structure:
a b c (Å): 8.7040 5.1328 16.1255
angles (deg): 90.00 110.72 90.00
Fractional positions:
1 Sn 0.2376 0.2401 0.4800
2 Sn 0.2376 0.2599 0.9800
3 Sn 0.7624 0.7401 0.0200
4 Sn 0.7624 0.7599 0.5200
5 P 0.0069 0.2383 0.1163
6 P 0.0069 0.2617 0.6163
7 P 0.4620 0.7368 0.6047
8 P 0.4620 0.7632 0.1047
9 P 0.5380 0.2368 0.8953
10 P 0.5380 0.2632 0.3953
11 P 0.9931 0.7383 0.3837
12 P 0.9931 0.7617 0.8837
13 O 0.0457 0.0266 0.3955
14 O 0.0457 0.4734 0.8955
15 O 0.1062 0.1588 0.0586
16 O 0.1062 0.3412 0.5586
17 O 0.1221 0.2023 0.2156
18 O 0.1221 0.2977 0.7156
19 O 0.1458 0.5626 0.4030
20 O 0.1458 0.9374 0.9030
21 O 0.2638 0.6411 0.7416
22 O 0.2638 0.8589 0.2416
23 O 0.3160 0.5802 0.0602
24 O 0.3160 0.9198 0.5602
25 O 0.3798 0.1564 0.4053
26 O 0.3798 0.3436 0.9053
27 O 0.4278 0.0431 0.0681
28 O 0.4278 0.4569 0.5681
29 O 0.4894 0.7250 0.7065
30 O 0.4894 0.7750 0.2065
31 O 0.5106 0.2250 0.7935
32 O 0.5106 0.2750 0.2935
33 O 0.5722 0.5431 0.4319
34 O 0.5722 0.9569 0.9319
35 O 0.6202 0.6564 0.0947
36 O 0.6202 0.8436 0.5947
37 O 0.6840 0.0802 0.4398
38 O 0.6840 0.4198 0.9398
39 O 0.7362 0.1411 0.7584
40 O 0.7362 0.3589 0.2584
41 O 0.8542 0.0626 0.0970
42 O 0.8542 0.4374 0.5970
43 O 0.8779 0.7023 0.2844
44 O 0.8779 0.7977 0.7844
45 O 0.8938 0.6588 0.4414
46 O 0.8938 0.8412 0.9414
47 O 0.9543 0.5266 0.1045
48 O 0.9543 0.9734 0.6045

Top 10 peaks for 10° ≤ 2θ ≤ 80°, in order of falling intensity:
11.7°, d = 7.541 Å, intensity 100.0
25.5°, d = 3.489 Å, intensity 85.4
20.5°, d = 4.342 Å, intensity 44.8
25.9°, d = 3.438 Å, intensity 43.4
20.8°, d = 4.268 Å, intensity 23.9
35.5°, d = 2.526 Å, intensity 20.0
37.8°, d = 2.379 Å, intensity 15.8
28.3°, d = 3.155 Å, intensity 14.9
35.0°, d = 2.566 Å, intensity 12.7
48.9°, d = 1.864 Å, intensity 12.2

=====

Record 3
Diffraction record for K3Cu2F7. The X-ray powder pattern is computed, not measured: it uses a crystal structure in the Materials Project, relaxed with GGA-PBE and a wavelength of 1.5418 Å.

Structure:
a b c (Å): 11.0234 11.0234 11.0234
angles (deg): 158.61 158.61 30.43
Fractional positions:
1 K 0.0000 0.0000 0.0000
2 K 0.1838 0.1838 0.0000
3 K 0.8162 0.8162 0.0000
4 Cu 0.4040 0.4040 0.0000
5 Cu 0.5960 0.5960 0.0000
6 F 0.0947 0.5947 0.5000
7 F 0.3087 0.3087 0.0000
8 F 0.4053 0.9053 0.5000
9 F 0.5000 0.5000 0.0000
10 F 0.5947 0.0947 0.5000
11 F 0.6913 0.6913 0.0000
12 F 0.9053 0.4053 0.5000

Top 10 peaks for 10° ≤ 2θ ≤ 80°, in order of falling intensity:
30.3°, d = 2.949 Å, intensity 100.0
44.3°, d = 2.046 Å, intensity 81.4
30.9°, d = 2.893 Å, intensity 75.8
54.6°, d = 1.681 Å, intensity 35.4
22.1°, d = 4.018 Å, intensity 32.9
16.7°, d = 5.319 Å, intensity 31.9
63.0°, d = 1.475 Å, intensity 31.1
42.5°, d = 2.127 Å, intensity 30.3
64.4°, d = 1.447 Å, intensity 25.6
53.5°, d = 1.714 Å, intensity 19.5

=====

Record 4
Diffraction record for BaTbO3. The X-ray powder pattern is computed, not measured: it uses a crystal structure in the Materials Project, relaxed with GGA-PBE and a wavelength of 1.5418 Å.

Structure:
a b c (Å): 6.2728 6.2728 6.2728
angles (deg): 120.41 89.97 119.62
Fractional positions:
1 Ba 0.2609 0.0109 0.2500
2 Ba 0.7391 0.9891 0.7500
3 Tb 0.0000 0.5000 0.5000
4 Tb 0.5000 0.5000 0.0000
5 O 0.1672 0.4172 0.7500
6 O 0.2979 0.0000 0.7979
7 O 0.2979 0.5000 0.2979
8 O 0.7021 0.0000 0.2021
9 O 0.7021 0.5000 0.7021
10 O 0.8328 0.5828 0.2500

Top 10 peaks for 10° ≤ 2θ ≤ 80°, in order of falling intensity:
28.5°, d = 3.136 Å, intensity 100.0
40.7°, d = 2.217 Å, intensity 40.1
50.2°, d = 1.817 Å, intensity 33.9
28.6°, d = 3.117 Å, intensity 24.2
28.3°, d = 3.154 Å, intensity 23.2
50.6°, d = 1.803 Å, intensity 20.6
66.7°, d = 1.403 Å, intensity 18.9
58.9°, d = 1.568 Å, intensity 15.9
50.5°, d = 1.807 Å, intensity 11.7
59.3°, d = 1.558 Å, intensity 4.6